Starting from a DFT-relaxed cell (PBE, the Materials Project), the powder diffractogram of Li10SiP2S12 was computed for CuKα.

Atomic structure:
a = 8.5747 Å, b = 8.8472 Å, c = 12.9438 Å
α = 91.77°, β = 90.59°, γ = 90.31°
Space group P1 (No. 1)
Inequivalent atoms, fractional coordinates:
Li: 0.0000 0.0000 0.0000 x1
Li: 0.0012 0.4735 0.1140 x1
Li: 0.0137 0.4556 0.3994 x1
Li: 0.0158 0.9651 0.2340 x1
Li: 0.0168 0.0056 0.7541 x1
Li: 0.0308 0.5347 0.9061 x1
Li: 0.2343 0.7630 0.4998 x1
Li: 0.2682 0.2407 0.7974 x1
Li: 0.2828 0.2097 0.2989 x1
Li: 0.5036 0.4990 0.6057 x1
Li: 0.5139 0.5094 0.8805 x1
Li: 0.5176 0.9908 0.0304 x1
Li: 0.5197 0.0057 0.7568 x1
Li: 0.5265 0.4658 0.0993 x1
Li: 0.5357 0.9741 0.4390 x1
Li: 0.5552 0.4584 0.3749 x1
Li: 0.7370 0.7611 0.1736 x1
Li: 0.7604 0.7613 0.7016 x1
Li: 0.9893 0.0631 0.5020 x1
Li: 0.9945 0.5023 0.6681 x1
Si: 0.2794 0.2358 0.5640 x1
Si: 0.7691 0.7311 0.9315 x1
P: 0.2597 0.2531 0.0588 x1
P: 0.2641 0.7596 0.7418 x1
P: 0.7652 0.2096 0.2501 x1
P: 0.7806 0.7277 0.4334 x1
S: 0.0635 0.2756 0.9676 x1
S: 0.0649 0.2337 0.6509 x1
S: 0.0672 0.7749 0.6496 x1
S: 0.2567 0.0440 0.1240 x1
S: 0.2586 0.5540 0.8092 x1
S: 0.2664 0.0445 0.4571 x1
S: 0.2673 0.9394 0.8459 x1
S: 0.2677 0.4234 0.1706 x1
S: 0.2880 0.4381 0.4740 x1
S: 0.4559 0.7740 0.6478 x1
S: 0.4583 0.2607 0.9697 x1
S: 0.4770 0.2401 0.6648 x1
S: 0.5594 0.7108 0.0176 x1
S: 0.5731 0.1905 0.3391 x1
S: 0.5867 0.7356 0.3382 x1
S: 0.7608 0.4217 0.1917 x1
S: 0.7655 0.9085 0.5364 x1
S: 0.7725 0.9446 0.8554 x1
S: 0.7747 0.5253 0.5096 x1
S: 0.7769 0.0381 0.1383 x1
S: 0.7790 0.5474 0.8186 x1
S: 0.9647 0.7227 0.0359 x1
S: 0.9682 0.1923 0.3370 x1
S: 0.9850 0.7309 0.3500 x1

Principal peaks in the range 2θ from 15° to 90°, by angle:
(1 -1 2), 2θ 19.7, I 60
(0 2 0), 2θ 20.1, I 45
(2 1 -1), 2θ 24.0, I 49
(0 2 -3), 2θ 28.5, I 59
(2 0 -3), 2θ 29.2, I 85
(0 2 3), 2θ 29.4, I 100
(2 0 3), 2θ 29.5, I 85
(0 3 -1), 2θ 30.9, I 29
(0 4 0), 2θ 40.8, I 28
(4 0 0), 2θ 42.1, I 52
(2 3 -4), 2θ 46.1, I 28
(2 -3 4), 2θ 46.2, I 28